Starting from the GGA-PBE geometry in Alexandria, the PXRD pattern of SiH3NO was calculated for Cu Kα (λ = 1.5418 Å).
Lines closer than 0.1° are merged.

Top 8 peaks for 15° ≤ 2θ ≤ 90°, low angle first:
h k l, 2theta, d_spacing, I_rel
0 0 1, 18.65, 4.758, 42
0 1 0, 19.95, 4.452, 100
0 1 1, 23.78, 3.741, 33
1 1 0, 33.53, 2.673, 27
1 0 1, 34.68, 2.586, 18
0 1 2, 38.27, 2.352, 12
1 2 0, 45.74, 1.984, 13
1 -1 1, 46.34, 1.959, 13

Atomic structure:
Cell: 2.9546 4.7837 5.0246 Å, 73.12 77.64 73.74°
Positions (direct):
Si (0.0000, 0.0000, 0.0000)
H (0.0734, 0.9387, 0.4549)
H (0.3186, 0.4734, 0.9195)
H (0.4976, 0.2987, 0.6536)
N (0.4336, 0.2632, 0.8699)
O (0.8204, 0.0406, 0.3377)